Starting from DFT lattice parameters and positions (GGA-PBE), the X-ray diffraction stick pattern of SnSb12Rh4 was computed for Cu Kα.
No peak broadening, texture or thermal motion is included.

a = 8.161 Å, b = 8.161 Å, c = 8.161 Å
α = 109.47°, β = 109.47°, γ = 109.47°
Atoms (fractional coordinates):
Sn1 0.000 0.000 0.000
Sb1 0.154 0.337 0.492
Sb2 0.154 0.663 0.817
Sb3 0.183 0.846 0.337
Sb4 0.337 0.183 0.846
Sb5 0.337 0.492 0.154
Sb6 0.492 0.154 0.337
Sb7 0.508 0.846 0.663
Sb8 0.663 0.508 0.846
Sb9 0.663 0.817 0.154
Sb10 0.817 0.154 0.663
Sb11 0.846 0.337 0.183
Sb12 0.846 0.663 0.508
Rh1 0.000 0.000 0.500
Rh2 0.000 0.500 0.000
Rh3 0.500 0.000 0.000
Rh4 0.500 0.500 0.500

The 10 most intense peaks (10 to 80 degrees two-theta), sorted by position:
Position (°2θ)	I (rel.)
29.98	100
35.65	46
42.92	26
47.25	33
49.31	28
56.98	15
58.79	7
62.31	7
67.40	17
77.07	9